Record 1
CsSrBr3: simulated powder diffractogram (Cu Kα (weighted mean of Kα1 and Kα2)), based on DFT lattice parameters and positions (GGA-PBE).
Intensities are scaled so that the largest is 100.

Largest 10 diffraction maxima, in order of falling intensity, 10 to 90 degrees two-theta:
- 27.04 deg, I 100, (1 3 1)
- 25.89 deg, I 97, (1 3 0)
- 47.50 deg, I 49, (1 3 5)
- 19.19 deg, I 48, (0 2 2)
- 30.86 deg, I 45, (1 1 3)
- 31.06 deg, I 39, (0 0 4)
- 39.10 deg, I 35, (2 0 0)
- 30.25 deg, I 34, (1 3 2)
- 38.11 deg, I 33, (0 6 2)
- 38.28 deg, I 33, (1 5 2)

Structure:
abc: 4.607 15.532 11.517
angles: 90.00 90.00 90.00
Space group Cmcm (No. 63)
One atom of each set of equivalent atoms:
Cs: 0.000 0.247 0.250 (multiplicity 4)
Sr: 0.000 0.500 0.000 (multiplicity 4)
Br: 0.000 0.130 0.548 (multiplicity 8)
Br: 0.000 0.433 0.750 (multiplicity 4)



Record 2
Cs3Tb2Br9: simulated powder diffractogram (Cu Kα (weighted mean of Kα1 and Kα2)), based on DFT lattice parameters and positions (GGA-PBE).
Intensities are scaled so that the largest is 100.

Largest 10 diffraction maxima, in order of falling intensity, 10 to 90 degrees two-theta:
- 28.75 deg, I 100, (2 2 3)
- 37.23 deg, I 35, (2 2 6)
- 44.71 deg, I 31, (6 0 0)
- 48.55 deg, I 22, (2 2 9)
- 21.92 deg, I 22, (3 0 0)
- 12.61 deg, I 22, (1 1 0)
- 26.80 deg, I 16, (0 0 6)
- 54.02 deg, I 15, (4 4 3)
- 52.89 deg, I 13, (6 0 6)
- 72.65 deg, I 12, (8 2 3)

Structure:
abc: 14.0436 14.0436 19.9616
angles: 90.00 90.00 120.00
Space group R-3c (No. 167, hexagonal axes)
One atom of each set of equivalent atoms:
Cs: 0.0000 0.3382 0.2500 (multiplicity 18)
Tb: 0.0000 0.0000 0.1511 (multiplicity 12)
Br: 0.0000 0.1547 0.7500 (multiplicity 18)
Br: 0.0070 0.1764 0.4121 (multiplicity 36)



Record 3
Cs2TeBr6: simulated powder diffractogram (Cu Kα (weighted mean of Kα1 and Kα2)), based on DFT lattice parameters and positions (GGA-PBE).
Intensities are scaled so that the largest is 100.

Largest 10 diffraction maxima, in order of falling intensity, 10 to 90 degrees two-theta:
- 27.44 deg, I 100, (2 2 2)
- 31.79 deg, I 98, (4 0 0)
- 45.58 deg, I 71, (4 4 0)
- 54.03 deg, I 43, (6 2 2)
- 75.53 deg, I 31, (8 4 0)
- 22.33 deg, I 30, (2 2 0)
- 13.62 deg, I 27, (1 1 1)
- 56.64 deg, I 24, (4 4 4)
- 84.27 deg, I 24, (8 4 4)
- 73.30 deg, I 17, (6 6 2)

Structure:
abc: 11.259 11.259 11.259
angles: 90.00 90.00 90.00
Space group Fm-3m (No. 225)
One atom of each set of equivalent atoms:
Cs: 0.250 0.250 0.250 (multiplicity 8)
Te: 0.000 0.000 0.000 (multiplicity 4)
Br: 0.000 0.000 0.244 (multiplicity 24)



Record 4
Cs3TlBr6: simulated powder diffractogram (Cu Kα (weighted mean of Kα1 and Kα2)), based on DFT lattice parameters and positions (GGA-PBE).
Intensities are scaled so that the largest is 100.

Largest 10 diffraction maxima, in order of falling intensity, 10 to 90 degrees two-theta:
- 28.87 deg, I 100, (4 0 0)
- 20.30 deg, I 82, (2 2 0)
- 41.29 deg, I 70, (4 4 0)
- 35.55 deg, I 35, (4 2 2)
- 24.93 deg, I 29, (2 2 2)
- 14.32 deg, I 28, (2 0 0)
- 67.75 deg, I 27, (8 4 0)
- 55.60 deg, I 25, (6 4 2)
- 46.43 deg, I 24, (6 2 0)
- 51.16 deg, I 24, (4 4 4)

Structure:
abc: 12.370 12.370 12.370
angles: 90.00 90.00 90.00
Space group Fm-3m (No. 225)
One atom of each set of equivalent atoms:
Cs: 0.000 0.000 0.000 (multiplicity 4)
Cs: 0.250 0.250 0.250 (multiplicity 8)
Tl: 0.000 0.000 0.500 (multiplicity 4)
Br: 0.000 0.000 0.275 (multiplicity 24)



Record 5
CsTlBr3: simulated powder diffractogram (Cu Kα (weighted mean of Kα1 and Kα2)), based on DFT lattice parameters and positions (GGA-PBE).
Intensities are scaled so that the largest is 100.

Largest 10 diffraction maxima, in order of falling intensity, 10 to 90 degrees two-theta:
- 30.47 deg, I 100, (2 2 0)
- 21.41 deg, I 87, (0 2 0)
- 43.63 deg, I 74, (0 4 0)
- 37.54 deg, I 42, (3 1 -1)
- 15.10 deg, I 36, (0 0 1)
- 71.96 deg, I 33, (2 6 0)
- 54.14 deg, I 26, (0 4 2)
- 80.12 deg, I 25, (2 6 2)
- 58.89 deg, I 23, (5 1 -1)
- 34.17 deg, I 21, (2 2 1)

Structure:
abc: 8.299 8.300 5.867
angles: 90.00 90.01 90.00
Space group Cm (No. 8)
One atom of each set of equivalent atoms:
Cs: 0.000 0.000 0.000 (multiplicity 2)
Tl: 0.002 0.500 0.511 (multiplicity 2)
Br: 0.251 0.252 0.509 (multiplicity 4)
Br: 0.493 0.000 0.010 (multiplicity 2)



Record 6
CsTlBr3: simulated powder diffractogram (Cu Kα (weighted mean of Kα1 and Kα2)), based on DFT lattice parameters and positions (GGA-PBE).
Intensities are scaled so that the largest is 100.

Largest 10 diffraction maxima, in order of falling intensity, 10 to 90 degrees two-theta:
- 30.12 deg, I 100, (4 0 0)
- 21.17 deg, I 89, (2 2 0)
- 43.11 deg, I 73, (4 4 0)
- 37.11 deg, I 42, (4 2 2)
- 14.93 deg, I 37, (2 0 0)
- 71.03 deg, I 32, (8 4 0)
- 53.49 deg, I 25, (4 4 4)
- 58.16 deg, I 25, (6 4 2)
- 79.05 deg, I 24, (8 4 4)
- 48.51 deg, I 22, (6 2 0)

Structure:
abc: 11.869 11.869 11.869
angles: 90.00 90.00 90.00
Space group Fm-3m (No. 225)
One atom of each set of equivalent atoms:
Cs: 0.250 0.250 0.250 (multiplicity 8)
Tl: 0.000 0.000 0.000 (multiplicity 4)
Tl: 0.000 0.000 0.500 (multiplicity 4)
Br: 0.000 0.000 0.237 (multiplicity 24)